(1)
This entry pairs a crystal structure of In2Hg with its calculated powder diffraction line list. Radiation: copper Kα. Structure: the PBE geometry in Alexandria.
Lines closer than 0.1° are merged.

Atomic structure:
```
data_In2Hg
_chemical_formula_sum 'In2 Hg1'
_symmetry_space_group_name_H-M 'P 4/m m m'
_symmetry_Int_Tables_number 123
_symmetry_space_group_name_Hall '-P 4 2'
_cell_length_a 4.556
_cell_length_b 4.556
_cell_length_c 4.272
_cell_angle_alpha 90.00
_cell_angle_beta 90.00
_cell_angle_gamma 90.00
loop_
_atom_site_label
_atom_site_fract_x
_atom_site_fract_y
_atom_site_fract_z
In1 0.000 0.500 0.000
Hg1 0.000 0.000 0.500
```

Largest 8 diffraction maxima, most intense first, 10 to 80 degrees two-theta:
two_theta  I (rel.)  (hkl)
34.9  100.0  1 1 1
19.5  44.1  1 0 0
39.6  35.4  2 0 0
28.6  35.3  1 0 1
68.8  27.3  3 1 1
59.3  21.3  2 0 2
49.6  16.1  2 1 1
42.3  14.6  0 0 2

=====

(2)
This entry pairs a crystal structure of SrZn3Ir with its calculated powder diffraction line list. Radiation: copper Kα. Structure: the PBE geometry in Alexandria.
Lines closer than 0.1° are merged.

Atomic structure:
```
data_SrZn3Ir
_chemical_formula_sum 'Sr4 Zn12 Ir4'
_symmetry_space_group_name_H-M 'I -4 m 2'
_symmetry_Int_Tables_number 119
_symmetry_space_group_name_Hall 'I -4 -2'
_cell_length_a 5.384
_cell_length_b 5.384
_cell_length_c 16.816
_cell_angle_alpha 90.00
_cell_angle_beta 90.00
_cell_angle_gamma 90.00
loop_
_atom_site_label
_atom_site_fract_x
_atom_site_fract_y
_atom_site_fract_z
Sr1 0.000 0.000 0.175
Zn1 0.000 0.238 0.373
Zn2 0.000 0.500 0.515
Ir1 0.000 0.000 0.500
Ir2 0.000 0.500 0.250
```

Largest 8 diffraction maxima, most intense first, 10 to 80 degrees two-theta:
two_theta  I (rel.)  (hkl)
17.3  100.0  1 0 1
40.8  62.6  2 1 3
33.3  41.5  2 0 0
22.9  35.7  1 0 3
52.8  24.6  2 2 4
39.8  21.5  2 0 4
41.1  19.9  1 0 7
39.9  18.9  1 1 6